No. 1
Computed X-ray diffraction stick pattern
Compound: TmSiRu
Radiation: Cu Kα, 1.54184 Å
Structure: a GGA-PBE-relaxed structure
Kinematic intensities with the Lorentz-polarization factor, no thermal factor.

```
data_TmSiRu
_chemical_formula_sum 'Tm4 Si4 Ru4'
_cell_length_a 6.908
_cell_length_b 4.309
_cell_length_c 7.083
_cell_angle_alpha 90.00
_cell_angle_beta 90.00
_cell_angle_gamma 90.00
_symmetry_space_group_name_H-M 'P n m a'
_symmetry_Int_Tables_number 62
loop_
_symmetry_equiv_pos_as_xyz
'x,y,z'
'-x,-y,-z'
'-x+1/2,-y,z+1/2'
'x+1/2,y,-z+1/2'
'x+1/2,-y+1/2,-z+1/2'
'-x+1/2,y+1/2,z+1/2'
'-x,y+1/2,-z'
'x,-y+1/2,z'
loop_
_atom_site_label
_atom_site_type_symbol
_atom_site_fract_x
_atom_site_fract_y
_atom_site_fract_z
_atom_site_occupancy
Tm1 Tm 0.013 0.250 0.188 1
Si1 Si 0.198 0.250 0.606 1
Ru1 Ru 0.155 0.750 0.434 1
```

Main lines, low angle first (2θ = 15–90°):
index	2theta	intensity
0 1 1	24.18	36
1 1 2	35.28	88
2 1 1	35.64	100
2 0 2	36.33	31
1 0 3	40.37	30
3 0 1	41.22	30
0 2 0	41.93	43
0 1 3	43.72	30
1 2 3	59.60	28
3 1 4	70.57	30


No. 2
Computed X-ray diffraction stick pattern
Compound: USi2Ru2
Radiation: Cu Kα, 1.54184 Å
Structure: a GGA-PBE-relaxed structure
Kinematic intensities with the Lorentz-polarization factor, no thermal factor.

```
data_USi2Ru2
_chemical_formula_sum 'U2 Si4 Ru4'
_cell_length_a 4.159
_cell_length_b 4.159
_cell_length_c 9.573
_cell_angle_alpha 90.00
_cell_angle_beta 90.00
_cell_angle_gamma 90.00
_symmetry_space_group_name_H-M 'I 4/m m m'
_symmetry_Int_Tables_number 139
_symmetry_space_group_name_Hall '-I 4 2'
loop_
_atom_site_label
_atom_site_type_symbol
_atom_site_fract_x
_atom_site_fract_y
_atom_site_fract_z
_atom_site_occupancy
U1 U 0.000 0.000 0.000 1
Si1 Si 0.000 0.000 0.373 1
Ru1 Ru 0.000 0.500 0.250 1
```

Main lines, low angle first (2θ = 15–90°):
index	2theta	intensity
1 0 1	23.32	53
1 0 3	35.46	40
1 1 2	35.84	100
0 0 4	37.58	17
2 0 0	43.52	37
2 1 1	49.96	15
2 1 3	57.34	20
2 0 4	58.83	18
1 1 6	66.70	17
3 1 2	74.88	24


No. 3
Computed X-ray diffraction stick pattern
Compound: Y3Si12Ru4
Radiation: Cu Kα, 1.54184 Å
Structure: a GGA-PBE-relaxed structure
Kinematic intensities with the Lorentz-polarization factor, no thermal factor.

```
data_Y3Si12Ru4
_chemical_formula_sum 'Y12 Si48 Ru16'
_cell_length_a 18.547
_cell_length_b 8.144
_cell_length_c 8.145
_cell_angle_alpha 90.00
_cell_angle_beta 90.00
_cell_angle_gamma 90.00
_symmetry_space_group_name_H-M 'C m c e'
_symmetry_Int_Tables_number 64
_symmetry_space_group_name_Hall '-C 2ac 2'
loop_
_atom_site_label
_atom_site_type_symbol
_atom_site_fract_x
_atom_site_fract_y
_atom_site_fract_z
_atom_site_occupancy
Y1 Y 0.000 0.000 0.000 1
Y2 Y 0.250 0.246 0.250 1
Si1 Si 0.000 0.167 0.333 1
Si2 Si 0.117 0.006 0.729 1
Si3 Si 0.117 0.229 0.507 1
Si4 Si 0.205 0.000 0.500 1
Ru1 Ru 0.000 0.127 0.627 1
Ru2 Ru 0.169 0.000 0.000 1
```

Main lines, low angle first (2θ = 15–90°):
index	2theta	intensity
3 1 1	21.08	47
0 2 2	31.06	34
2 2 2	32.56	36
1 1 3	35.18	100
6 2 0	36.49	83
4 2 2	36.74	75
5 3 1	42.74	35
2 0 4	45.61	46
7 3 1	49.35	47
6 2 4	58.85	51


No. 4
Computed X-ray diffraction stick pattern
Compound: YSiRu
Radiation: Cu Kα, 1.54184 Å
Structure: a GGA-PBE-relaxed structure
Kinematic intensities with the Lorentz-polarization factor, no thermal factor.

```
data_YSiRu
_chemical_formula_sum 'Y4 Si4 Ru4'
_cell_length_a 7.010
_cell_length_b 4.315
_cell_length_c 7.189
_cell_angle_alpha 90.00
_cell_angle_beta 90.00
_cell_angle_gamma 90.00
_symmetry_space_group_name_H-M 'P n m a'
_symmetry_Int_Tables_number 62
loop_
_symmetry_equiv_pos_as_xyz
'x,y,z'
'-x,-y,-z'
'-x+1/2,-y,z+1/2'
'x+1/2,y,-z+1/2'
'x+1/2,-y+1/2,-z+1/2'
'-x+1/2,y+1/2,z+1/2'
'-x,y+1/2,-z'
'x,-y+1/2,z'
loop_
_atom_site_label
_atom_site_type_symbol
_atom_site_fract_x
_atom_site_fract_y
_atom_site_fract_z
_atom_site_occupancy
Y1 Y 0.010 0.250 0.187 1
Si1 Si 0.196 0.250 0.606 1
Ru1 Ru 0.153 0.750 0.433 1
```

Main lines, low angle first (2θ = 15–90°):
index	2theta	intensity
1 1 1	27.26	47
1 1 2	34.92	100
2 1 1	35.27	87
2 0 2	35.78	29
1 0 3	39.75	24
3 0 1	40.60	50
0 2 0	41.87	53
0 1 3	43.18	49
3 2 1	59.74	31
3 1 4	69.48	37


No. 5
Computed X-ray diffraction stick pattern
Compound: ZrSiRu
Radiation: Cu Kα, 1.54184 Å
Structure: a GGA-PBE-relaxed structure
Kinematic intensities with the Lorentz-polarization factor, no thermal factor.

```
data_ZrSiRu
_chemical_formula_sum 'Zr3 Si3 Ru3'
_cell_length_a 6.7106
_cell_length_b 6.7106
_cell_length_c 3.7281
_cell_angle_alpha 90.00
_cell_angle_beta 90.00
_cell_angle_gamma 120.00
_symmetry_space_group_name_H-M 'P -6 2 m'
_symmetry_Int_Tables_number 189
_symmetry_space_group_name_Hall 'P -6 -2'
loop_
_atom_site_label
_atom_site_type_symbol
_atom_site_fract_x
_atom_site_fract_y
_atom_site_fract_z
_atom_site_occupancy
Zr1 Zr 0.0000 0.5852 0.0000 1
Si1 Si 0.0000 0.0000 0.0000 1
Si2 Si 0.3333 0.6667 0.5000 1
Ru1 Ru 0.0000 0.2443 0.5000 1
```

Main lines, low angle first (2θ = 15–90°):
index	2theta	intensity
1 1 0	26.57	12
1 0 1	28.44	19
1 1 1	36.01	100
2 0 1	39.31	64
2 1 0	41.09	65
2 1 1	48.08	15
0 0 2	48.86	22
3 1 1	62.81	22
2 1 2	65.70	31
3 2 1	75.77	20


No. 6
Computed X-ray diffraction stick pattern
Compound: Sm3Ru
Radiation: Cu Kα, 1.54184 Å
Structure: a GGA-PBE-relaxed structure
Kinematic intensities with the Lorentz-polarization factor, no thermal factor.

```
data_Sm3Ru
_chemical_formula_sum 'Sm12 Ru4'
_cell_length_a 7.394
_cell_length_b 9.484
_cell_length_c 6.457
_cell_angle_alpha 90.00
_cell_angle_beta 90.00
_cell_angle_gamma 90.00
_symmetry_space_group_name_H-M 'P n m a'
_symmetry_Int_Tables_number 62
loop_
_symmetry_equiv_pos_as_xyz
'x,y,z'
'-x,-y,-z'
'-x+1/2,-y,z+1/2'
'x+1/2,y,-z+1/2'
'x+1/2,-y+1/2,-z+1/2'
'-x+1/2,y+1/2,z+1/2'
'-x,y+1/2,-z'
'x,-y+1/2,z'
loop_
_atom_site_label
_atom_site_type_symbol
_atom_site_fract_x
_atom_site_fract_y
_atom_site_fract_z
_atom_site_occupancy
Sm1 Sm 0.041 0.250 0.139 1
Sm2 Sm 0.177 0.067 0.672 1
Ru1 Ru 0.115 0.750 0.454 1
```

Main lines, low angle first (2θ = 15–90°):
index	2theta	intensity
2 1 1	29.39	39
1 0 2	30.21	35
2 2 0	30.66	47
0 3 1	31.51	72
1 1 2	31.68	66
2 2 1	33.77	100
2 3 0	37.43	26
1 2 3	48.02	27
3 3 2	55.16	26
4 3 0	57.75	35